No. 1
Diffraction record for Mn6O7F5. The powder X-ray diffraction pattern is theoretical, not measured: it uses a crystal structure in the Materials Project, relaxed with GGA+U and Cu Kα X-rays.

Peak list (10 most intense, 5 to 70 degrees two-theta, by angle)
d [Å]	I (rel.)
3.522	100
3.196	81
2.561	83
2.205	19
1.785	58
1.761	16
1.694	44
1.523	16
1.403	18
1.398	28

Cell: 4.7461 9.1350 4.7646 Å, 90.00 95.56 90.00°
Space group Pm (No. 6)
Asymmetric unit:
Mn (0.0000, 0.0000, 0.0000)
Mn (0.0212, 0.3251, 0.9719)
Mn (0.4932, 0.1752, 0.5054)
Mn (0.5262, 0.5000, 0.5266)
O (0.2016, 0.1681, 0.1857)
O (0.3370, 0.3434, 0.6775)
O (0.8119, 0.1661, 0.7956)
O (0.8328, 0.5000, 0.7984)
F (0.2217, 0.5000, 0.1899)
F (0.3055, 0.0000, 0.6935)
F (0.6749, 0.0000, 0.3236)
F (0.7109, 0.3497, 0.3031)

---

No. 2
Diffraction record for Mn12O5F19. The powder X-ray diffraction pattern is theoretical, not measured: it uses a crystal structure in the Materials Project, relaxed with GGA+U and Cu Kα X-rays.

Peak list (10 most intense, 5 to 70 degrees two-theta, by angle)
d [Å]	I (rel.)
3.125	100
3.103	94
3.004	85
2.936	75
2.661	23
1.920	28
1.912	27
1.856	33
1.833	30
1.789	28

Cell: 5.3248 5.3774 15.3866 Å, 94.05 90.64 91.31°
Space group P1 (No. 1)
Asymmetric unit:
Mn (0.0000, 0.0000, 0.0000)
Mn (0.0023, 0.4204, 0.8227)
Mn (0.0302, 0.5202, 0.4708)
Mn (0.4412, 0.4911, 0.3173)
Mn (0.4825, 0.0770, 0.8159)
Mn (0.4963, 0.5890, 0.6564)
Mn (0.5062, 0.5915, 0.9988)
Mn (0.5207, 0.0587, 0.4953)
Mn (0.5671, 0.0338, 0.1531)
Mn (0.9388, 0.0391, 0.3172)
Mn (0.9632, 0.5194, 0.1537)
Mn (0.9691, 0.9492, 0.6672)
O (0.1550, 0.1552, 0.7527)
O (0.1628, 0.2738, 0.3717)
O (0.6596, 0.8758, 0.7276)
O (0.7740, 0.8060, 0.0884)
O (0.8058, 0.2343, 0.2282)
F (0.1578, 0.7366, 0.2575)
F (0.1600, 0.3602, 0.0445)
F (0.1682, 0.6482, 0.7337)
F (0.2825, 0.8886, 0.5935)
F (0.2872, 0.8495, 0.0905)
F (0.3149, 0.3790, 0.5564)
F (0.3214, 0.2673, 0.2037)
F (0.3317, 0.8856, 0.9216)
F (0.3371, 0.3818, 0.8892)
F (0.3650, 0.7450, 0.4264)
F (0.6686, 0.7814, 0.2670)
F (0.6715, 0.3819, 0.7506)
F (0.6717, 0.2920, 0.0597)
F (0.6777, 0.3258, 0.4124)
F (0.8029, 0.1921, 0.5831)
F (0.8074, 0.1484, 0.8901)
F (0.8078, 0.6854, 0.5777)
F (0.8495, 0.6535, 0.9114)
F (0.8796, 0.8624, 0.4249)

---

No. 3
Diffraction record for Mn3O4F2. The powder X-ray diffraction pattern is theoretical, not measured: it uses a crystal structure in the Materials Project, relaxed with GGA+U and Cu Kα X-rays.

Peak list (10 most intense, 5 to 70 degrees two-theta, by angle)
d [Å]	I (rel.)
3.514	100
3.140	82
2.553	46
2.514	40
2.341	16
1.794	30
1.757	16
1.754	30
1.506	15
1.376	19

Cell: 4.7123 5.5431 7.7259 Å, 84.16 85.26 85.07°
Space group P1 (No. 1)
Asymmetric unit:
Mn (0.0000, 0.0000, 0.0000)
Mn (0.0015, 0.3284, 0.6661)
Mn (0.4628, 0.4762, 0.9855)
Mn (0.4690, 0.1479, 0.3177)
Mn (0.4812, 0.8087, 0.6664)
Mn (0.9754, 0.6463, 0.3250)
O (0.1762, 0.0204, 0.7662)
O (0.1787, 0.3512, 0.4264)
O (0.1873, 0.6956, 0.0972)
O (0.2821, 0.1980, 0.0894)
O (0.3053, 0.5276, 0.7722)
O (0.7839, 0.2795, 0.8931)
O (0.7880, 0.9533, 0.2260)
O (0.7912, 0.6123, 0.5598)
F (0.2873, 0.8567, 0.4229)
F (0.6597, 0.1007, 0.5553)
F (0.6602, 0.4428, 0.2150)
F (0.6850, 0.7678, 0.9095)

---

No. 4
Diffraction record for Mn3O4F2. The powder X-ray diffraction pattern is theoretical, not measured: it uses a crystal structure in the Materials Project, relaxed with GGA+U and Cu Kα X-rays.

Peak list (10 most intense, 5 to 70 degrees two-theta, by angle)
d [Å]	I (rel.)
3.339	100
3.213	98
2.550	79
2.538	25
1.736	31
1.698	29
1.670	17
1.607	16
1.525	18
1.379	37

Cell: 4.6260 5.5574 7.6597 Å, 86.05 88.97 87.94°
Space group P1 (No. 1)
Asymmetric unit:
Mn (0.0000, 0.0000, 0.0000)
Mn (0.0042, 0.3511, 0.6925)
Mn (0.4716, 0.8249, 0.6592)
Mn (0.4982, 0.5080, 0.0101)
Mn (0.5188, 0.1626, 0.3374)
Mn (0.9844, 0.6763, 0.3335)
O (0.1850, 0.7060, 0.1070)
O (0.2012, 0.0504, 0.7736)
O (0.3007, 0.5394, 0.7789)
O (0.3061, 0.8788, 0.4351)
O (0.6916, 0.4617, 0.2389)
O (0.8049, 0.9623, 0.2294)
O (0.8059, 0.3023, 0.9086)
O (0.8057, 0.6361, 0.5706)
F (0.1966, 0.3716, 0.4449)
F (0.2971, 0.2029, 0.1109)
F (0.6862, 0.8112, 0.8874)
F (0.7085, 0.1416, 0.5794)

---

- Which formula does entry 3 have?
  Mn3O4F2